# Pr5ZnCu2
Computed XRD peak list, Cu Kα (weighted mean of Kα1 and Kα2). Input: a crystal structure in Alexandria, relaxed with PBE.
Neutral-atom scattering factors, no anomalous dispersion.

Principal peaks in the range 10° ≤ 2θ ≤ 80°, low angle first:
| 2θ/deg | I (rel.) |
| --- | --- |
| 25.1 | 18 |
| 30.6 | 9 |
| 32.1 | 100 |
| 34.3 | 50 |
| 35.6 | 23 |
| 50.3 | 10 |
| 55.3 | 15 |
| 55.8 | 9 |
| 56.4 | 8 |
| 64.5 | 20 |

Cell and atoms:
```
Pr5ZnCu2
1.0
-4.133 4.133 6.369
4.133 -4.133 6.369
4.133 4.133 -6.369
Pr Zn Cu
10 2 4
direct
0.000 0.000 0.000 Pr
0.013 0.513 0.817 Pr
0.196 0.013 0.500 Pr
0.304 0.804 0.817 Pr
0.487 0.304 0.500 Pr
0.500 0.500 0.000 Pr
0.513 0.696 0.500 Pr
0.696 0.196 0.183 Pr
0.804 0.987 0.500 Pr
0.987 0.487 0.183 Pr
0.250 0.250 0.000 Zn
0.750 0.750 0.000 Zn
0.125 0.375 0.500 Cu
0.375 0.875 0.251 Cu
0.625 0.125 0.749 Cu
0.875 0.625 0.500 Cu
```

***

# Li12I5N2
Computed XRD peak list, Cu Kα (weighted mean of Kα1 and Kα2). Input: a crystal structure in Alexandria, relaxed with PBE.
Neutral-atom scattering factors, no anomalous dispersion.

Principal peaks in the range 10° ≤ 2θ ≤ 80°, low angle first:
| 2θ/deg | I (rel.) |
| --- | --- |
| 18.5 | 18 |
| 22.9 | 47 |
| 23.2 | 35 |
| 23.5 | 100 |
| 27.1 | 17 |
| 36.2 | 24 |
| 38.9 | 18 |
| 41.3 | 25 |
| 45.8 | 14 |
| 48.1 | 13 |

Cell and atoms:
```
Li12I5N2
1.0
6.978 -3.782 0.000
6.978 3.782 0.000
-2.036 0.000 8.539
Li I N
12 5 2
direct
0.016 0.016 0.384 Li
0.053 0.656 0.422 Li
0.279 0.683 0.263 Li
0.317 0.721 0.737 Li
0.344 0.947 0.578 Li
0.425 0.425 0.510 Li
0.575 0.575 0.490 Li
0.656 0.053 0.422 Li
0.683 0.279 0.263 Li
0.721 0.317 0.737 Li
0.947 0.344 0.578 Li
0.984 0.984 0.616 Li
0.148 0.148 0.852 I
0.223 0.223 0.358 I
0.500 0.500 0.000 I
0.777 0.777 0.642 I
0.852 0.852 0.148 I
0.251 0.749 0.500 N
0.749 0.251 0.500 N
```

***

# GaTe2O5
Computed XRD peak list, Cu Kα (weighted mean of Kα1 and Kα2). Input: a crystal structure in Alexandria, relaxed with PBE.
Neutral-atom scattering factors, no anomalous dispersion.

Principal peaks in the range 10° ≤ 2θ ≤ 80°, low angle first:
| 2θ/deg | I (rel.) |
| --- | --- |
| 25.5 | 88 |
| 28.2 | 40 |
| 29.5 | 100 |
| 33.1 | 28 |
| 34.2 | 20 |
| 41.3 | 19 |
| 43.2 | 21 |
| 52.4 | 43 |
| 61.3 | 19 |
| 69.4 | 19 |

Cell and atoms:
```
GaTe2O5
1.0
7.403 0.000 0.000
0.000 10.495 0.000
0.000 0.000 6.051
Ga Te O
4 8 20
direct
0.000 0.060 0.250 Ga
0.000 0.940 0.750 Ga
0.500 0.440 0.750 Ga
0.500 0.560 0.250 Ga
0.126 0.345 0.506 Te
0.126 0.655 0.006 Te
0.374 0.155 0.006 Te
0.374 0.845 0.506 Te
0.626 0.155 0.494 Te
0.626 0.845 0.994 Te
0.874 0.345 0.994 Te
0.874 0.655 0.494 Te
0.000 0.440 0.250 O
0.000 0.560 0.750 O
0.137 0.068 0.956 O
0.137 0.932 0.456 O
0.184 0.198 0.324 O
0.184 0.802 0.824 O
0.316 0.302 0.824 O
0.316 0.698 0.324 O
0.363 0.432 0.456 O
0.363 0.568 0.956 O
0.500 0.060 0.750 O
0.500 0.940 0.250 O
0.637 0.432 0.044 O
0.637 0.568 0.544 O
0.684 0.302 0.676 O
0.684 0.698 0.176 O
0.816 0.198 0.176 O
0.816 0.802 0.676 O
0.863 0.068 0.544 O
0.863 0.932 0.044 O
```

***

# CsAsCCl
Computed XRD peak list, Cu Kα (weighted mean of Kα1 and Kα2). Input: a crystal structure in Alexandria, relaxed with PBE.
Neutral-atom scattering factors, no anomalous dispersion.

Principal peaks in the range 10° ≤ 2θ ≤ 80°, low angle first:
| 2θ/deg | I (rel.) |
| --- | --- |
| 11.5 | 41 |
| 22.2 | 88 |
| 22.4 | 100 |
| 23.2 | 52 |
| 27.1 | 37 |
| 30.0 | 29 |
| 35.3 | 65 |
| 35.4 | 63 |
| 35.9 | 70 |
| 38.6 | 35 |

Cell and atoms:
```
CsAsCCl
1.0
3.292 0.000 0.000
0.000 4.661 0.000
0.014 0.094 7.682
Cs As C Cl
1 1 1 1
direct
0.000 0.000 0.000 Cs
0.996 0.478 0.428 As
0.497 0.465 0.300 C
0.501 0.504 0.775 Cl
```